Starting from a GGA-PBE-relaxed structure, the powder XRD pattern of Pr5AuSe4 was simulated for Cu Ka.
Peak positions follow from Bragg's law for the DFT cell and can differ from measured ones.

Principal peaks in the range 10° ≤ 2θ ≤ 90°, sorted by position:
2θ/deg  I_rel  index
29.27  53.2  0 0 10
29.55  100.0  1 1 0
42.08  75.7  1 1 10
42.29  37.7  2 0 0
52.26  41.2  2 0 10
69.40  17.3  2 2 10
69.55  17.2  3 1 0
77.19  25.4  3 1 10

Crystal structure
```
data_Pr5AuSe4
_cell_length_a 4.2744
_cell_length_b 4.2744
_cell_length_c 30.5130
_cell_angle_alpha 90.00
_cell_angle_beta 90.00
_cell_angle_gamma 90.00
_symmetry_space_group_name_H-M 'I 4/m m m'
_symmetry_Int_Tables_number 139
_symmetry_space_group_name_Hall '-I 4 2'
loop_
_atom_site_label
_atom_site_type_symbol
_atom_site_fract_x
_atom_site_fract_y
_atom_site_fract_z
Pr1 Pr 0.0000 0.0000 0.0000
Pr2 Pr 0.0000 0.0000 0.1984
Pr3 Pr 0.0000 0.0000 0.3973
Au1 Au 0.0000 0.0000 0.5000
Se1 Se 0.0000 0.0000 0.1000
Se2 Se 0.0000 0.0000 0.2988
```